# 1
Starting from the GGA-PBE geometry in Alexandria, the X-ray diffraction stick pattern of Y7Cd was calculated for Cu Kα, 1.54184 Å.
Lines closer than 0.1° are merged.

Principal peaks in the range 2θ = 10–80°, low angle first:
2.875 Å, I 100; 2.490 Å, I 50; 1.761 Å, I 34; 1.501 Å, I 40; 1.438 Å, I 11; 1.245 Å, I 5

Crystal structure
a = 7.043 Å, b = 7.043 Å, c = 7.043 Å
α = 60.00°, β = 60.00°, γ = 60.00°
Positions (direct):
Y  0.000  0.000  0.000
Y  0.000  0.000  0.500
Y  0.000  0.500  0.000
Y  0.000  0.500  0.500
Y  0.500  0.000  0.000
Y  0.500  0.000  0.500
Y  0.500  0.500  0.000
Cd  0.500  0.500  0.500



# 2
Starting from the GGA-PBE geometry in Alexandria, the X-ray diffraction stick pattern of YCd11 was calculated for Cu Kα, 1.54184 Å.
Lines closer than 0.1° are merged.

Principal peaks in the range 2θ = 10–80°, low angle first:
2.703 Å, I 86; 2.673 Å, I 53; 2.322 Å, I 34; 2.284 Å, I 100; 2.199 Å, I 30; 1.549 Å, I 27

Crystal structure
a = 9.296 Å, b = 9.296 Å, c = 9.296 Å
α = 99.96°, β = 99.96°, γ = 130.84°
Positions (direct):
Y  0.375  0.625  0.750
Y  0.625  0.375  0.250
Cd  0.000  0.000  0.000
Cd  0.000  0.000  0.500
Cd  0.000  0.500  0.000
Cd  0.118  0.548  0.330
Cd  0.118  0.788  0.570
Cd  0.125  0.875  0.250
Cd  0.212  0.282  0.330
Cd  0.212  0.882  0.930
Cd  0.282  0.212  0.830
Cd  0.282  0.452  0.070
Cd  0.452  0.282  0.570
Cd  0.452  0.882  0.170
Cd  0.500  0.000  0.500
Cd  0.548  0.118  0.830
Cd  0.548  0.718  0.430
Cd  0.718  0.548  0.930
Cd  0.718  0.788  0.170
Cd  0.788  0.118  0.070
Cd  0.788  0.718  0.670
Cd  0.875  0.125  0.750
Cd  0.882  0.212  0.430
Cd  0.882  0.452  0.670



# 3
Starting from the GGA-PBE geometry in Alexandria, the X-ray diffraction stick pattern of Y3Cd8 was calculated for Cu Kα, 1.54184 Å.
Lines closer than 0.1° are merged.

Principal peaks in the range 2θ = 10–80°, low angle first:
2.664 Å, I 82; 2.476 Å, I 100; 2.389 Å, I 12; 1.814 Å, I 25; 1.463 Å, I 24; 1.430 Å, I 17

Crystal structure
a = 12.787 Å, b = 12.787 Å, c = 12.787 Å
α = 22.33°, β = 22.33°, γ = 22.33°
Positions (direct):
Y  0.000  0.000  0.000
Y  0.452  0.452  0.452
Y  0.548  0.548  0.548
Cd  0.083  0.083  0.083
Cd  0.163  0.163  0.163
Cd  0.278  0.278  0.278
Cd  0.366  0.366  0.366
Cd  0.634  0.634  0.634
Cd  0.722  0.722  0.722
Cd  0.837  0.837  0.837
Cd  0.917  0.917  0.917



# 4
Starting from the GGA-PBE geometry in Alexandria, the X-ray diffraction stick pattern of YZn10Cd was calculated for Cu Kα, 1.54184 Å.
Lines closer than 0.1° are merged.

Principal peaks in the range 2θ = 10–80°, low angle first:
3.119 Å, I 29; 2.272 Å, I 29; 2.251 Å, I 100; 2.232 Å, I 49; 2.144 Å, I 46; 2.008 Å, I 25

Crystal structure
a = 4.287 Å, b = 5.228 Å, c = 9.196 Å
α = 90.00°, β = 90.00°, γ = 90.00°
Positions (direct):
Y  0.000  0.000  0.000
Zn  0.000  0.000  0.342
Zn  0.000  0.000  0.658
Zn  0.000  0.500  0.185
Zn  0.000  0.500  0.815
Zn  0.500  0.000  0.500
Zn  0.500  0.240  0.237
Zn  0.500  0.240  0.763
Zn  0.500  0.500  0.000
Zn  0.500  0.760  0.237
Zn  0.500  0.760  0.763
Cd  0.000  0.500  0.500



# 5
Starting from the GGA-PBE geometry in Alexandria, the X-ray diffraction stick pattern of Y6ZnCd was calculated for Cu Kα, 1.54184 Å.
Lines closer than 0.1° are merged.

Principal peaks in the range 2θ = 10–80°, low angle first:
2.795 Å, I 100; 2.559 Å, I 43; 2.200 Å, I 9; 1.810 Å, I 15; 1.668 Å, I 15; 1.519 Å, I 30

Crystal structure
a = 5.118 Å, b = 5.118 Å, c = 17.598 Å
α = 90.00°, β = 90.00°, γ = 90.00°
Positions (direct):
Y  0.000  0.000  0.250
Y  0.000  0.000  0.750
Y  0.000  0.500  0.107
Y  0.000  0.500  0.393
Y  0.000  0.500  0.607
Y  0.000  0.500  0.893
Y  0.500  0.000  0.107
Y  0.500  0.000  0.393
Y  0.500  0.000  0.607
Y  0.500  0.000  0.893
Y  0.500  0.500  0.250
Y  0.500  0.500  0.750
Zn  0.000  0.000  0.000
Zn  0.500  0.500  0.500
Cd  0.000  0.000  0.500
Cd  0.500  0.500  0.000



# 6
Starting from the GGA-PBE geometry in Alexandria, the X-ray diffraction stick pattern of YZn4Cd8 was calculated for Cu Kα, 1.54184 Å.
Lines closer than 0.1° are merged.

Principal peaks in the range 2θ = 10–80°, low angle first:
2.789 Å, I 47; 2.447 Å, I 46; 2.411 Å, I 100; 2.400 Å, I 51; 2.180 Å, I 70; 2.155 Å, I 35

Crystal structure
a = 7.360 Å, b = 7.360 Å, c = 7.360 Å
α = 98.59°, β = 98.59°, γ = 134.53°
Positions (direct):
Y  0.000  0.000  0.000
Zn  0.000  0.000  0.500
Zn  0.000  0.500  0.000
Zn  0.500  0.000  0.000
Zn  0.500  0.500  0.500
Cd  0.000  0.344  0.344
Cd  0.000  0.656  0.656
Cd  0.283  0.500  0.783
Cd  0.344  0.000  0.344
Cd  0.500  0.283  0.783
Cd  0.500  0.717  0.217
Cd  0.656  0.000  0.656
Cd  0.717  0.500  0.217



# 7
Starting from the GGA-PBE geometry in Alexandria, the X-ray diffraction stick pattern of YZn6Cd6 was calculated for Cu Kα, 1.54184 Å.
Lines closer than 0.1° are merged.

Principal peaks in the range 2θ = 10–80°, low angle first:
2.792 Å, I 43; 2.713 Å, I 70; 2.407 Å, I 52; 2.372 Å, I 100; 2.356 Å, I 83; 2.138 Å, I 90

Crystal structure
a = 7.213 Å, b = 7.213 Å, c = 7.213 Å
α = 134.45°, β = 99.58°, γ = 97.66°
Positions (direct):
Y  0.000  0.000  0.000
Zn  0.000  0.000  0.500
Zn  0.000  0.500  0.000
Zn  0.227  0.727  0.500
Zn  0.500  0.000  0.000
Zn  0.500  0.500  0.500
Zn  0.773  0.273  0.500
Cd  0.196  0.500  0.696
Cd  0.345  0.000  0.345
Cd  0.345  0.345  0.000
Cd  0.655  0.000  0.655
Cd  0.655  0.655  0.000
Cd  0.804  0.500  0.304



# 8
Starting from the GGA-PBE geometry in Alexandria, the X-ray diffraction stick pattern of YZn2Cd6 was calculated for Cu Kα, 1.54184 Å.
Lines closer than 0.1° are merged.

Principal peaks in the range 2θ = 10–80°, low angle first:
2.633 Å, I 100; 2.284 Å, I 23; 2.169 Å, I 41; 1.656 Å, I 11; 1.534 Å, I 13; 1.325 Å, I 22

Crystal structure
a = 4.338 Å, b = 4.338 Å, c = 10.263 Å
α = 90.00°, β = 90.00°, γ = 90.00°
Positions (direct):
Y  0.000  0.000  0.000
Zn  0.500  0.500  0.115
Zn  0.500  0.500  0.885
Cd  0.000  0.000  0.500
Cd  0.000  0.500  0.278
Cd  0.000  0.500  0.722
Cd  0.500  0.000  0.278
Cd  0.500  0.000  0.722
Cd  0.500  0.500  0.500